(1)
Structure and computed powder X-ray diffraction pattern of LiErSe2 (a GGA-PBE-relaxed structure; Cu Kα, 1.54184 Å).
Lines closer than 0.1° are merged.

Structural model:
```
data_LiErSe2
_symmetry_space_group_name_H-M 'R -3 m'
_symmetry_Int_Tables_number 166
_symmetry_space_group_name_Hall '-R 3 2"'
_cell_length_a 4.0365
_cell_length_b 4.0365
_cell_length_c 19.4857
_cell_angle_alpha 90.00
_cell_angle_beta 90.00
_cell_angle_gamma 120.00
loop_
_atom_site_label
_atom_site_fract_x
_atom_site_fract_y
_atom_site_fract_z
Li1 0.0000 0.0000 0.0000
Er1 0.0000 0.0000 0.5000
Se1 0.0000 0.0000 0.2504
```

Main lines, in order of rising 2θ (2θ from 15° to 90°):
| d [Å] | intensity | (hkl) |
| --- | --- | --- |
| 3.441 | 39 | 1 0 1 |
| 2.840 | 100 | 1 0 4 |
| 2.602 | 19 | 0 1 5 |
| 2.178 | 11 | 1 0 7 |
| 2.018 | 37 | 1 1 0 |
| 1.998 | 36 | 0 1 8 |
| 1.927 | 15 | 1 1 3 |
| 1.645 | 19 | 0 2 4 |
| 1.420 | 12 | 2 0 8 |
| 1.275 | 17 | 2 1 4 |
| 1.265 | 16 | 1 1 12 |
| 1.161 | 13 | 1 2 8 |


(2)
Structure and computed powder X-ray diffraction pattern of LiErSn (a GGA-PBE-relaxed structure; Cu Kα, 1.54184 Å).
Lines closer than 0.1° are merged.

Structural model:
```
data_LiErSn
_symmetry_space_group_name_H-M 'P 63 m c'
_symmetry_Int_Tables_number 186
_symmetry_space_group_name_Hall 'P 6c -2c'
_cell_length_a 9.3427
_cell_length_b 9.3427
_cell_length_c 7.2581
_cell_angle_alpha 90.00
_cell_angle_beta 90.00
_cell_angle_gamma 120.00
loop_
_atom_site_label
_atom_site_fract_x
_atom_site_fract_y
_atom_site_fract_z
Li1 0.1667 0.3335 0.0000
Li2 0.3333 0.6667 0.6195
Er1 0.0000 0.0000 0.2880
Er2 0.0247 0.5123 0.2943
Sn1 0.1670 0.3340 0.5571
Sn2 0.3333 0.6667 0.0263
```

Main lines, in order of rising 2θ (2θ from 15° to 90°):
| d [Å] | intensity | (hkl) |
| --- | --- | --- |
| 4.046 | 28 | 2 0 0 |
| 3.534 | 40 | 2 0 1 |
| 2.701 | 100 | 2 0 2 |
| 2.336 | 54 | 2 2 0 |
| 2.076 | 9 | 2 0 3 |
| 1.949 | 8 | 4 0 1 |
| 1.815 | 8 | 0 0 4 |
| 1.767 | 27 | 4 0 2 |
| 1.496 | 7 | 4 2 1 |
| 1.433 | 22 | 2 2 4 |
| 1.409 | 24 | 4 2 2 |
| 1.349 | 9 | 6 0 0 |


(3)
Structure and computed powder X-ray diffraction pattern of LiErSn2 (a GGA-PBE-relaxed structure; Cu Kα, 1.54184 Å).
Lines closer than 0.1° are merged.

Structural model:
```
data_LiErSn2
_symmetry_space_group_name_H-M 'C m c m'
_symmetry_Int_Tables_number 63
_symmetry_space_group_name_Hall '-C 2c 2'
_cell_length_a 4.268
_cell_length_b 18.947
_cell_length_c 4.593
_cell_angle_alpha 90.00
_cell_angle_beta 90.00
_cell_angle_gamma 90.00
loop_
_atom_site_label
_atom_site_fract_x
_atom_site_fract_y
_atom_site_fract_z
Li1 0.000 0.172 0.250
Er1 0.000 0.393 0.250
Sn1 0.000 0.042 0.250
Sn2 0.000 0.246 0.750
```

Main lines, in order of rising 2θ (2θ from 15° to 90°):
| d [Å] | intensity | (hkl) |
| --- | --- | --- |
| 4.133 | 11 | 0 2 1 |
| 3.536 | 14 | 1 3 0 |
| 3.158 | 13 | 0 6 0 |
| 2.834 | 18 | 1 5 0 |
| 2.802 | 100 | 1 3 1 |
| 2.602 | 17 | 0 6 1 |
| 2.297 | 19 | 0 0 2 |
| 2.134 | 16 | 2 0 0 |
| 2.105 | 12 | 0 8 1 |
| 1.650 | 11 | 2 6 1 |
| 1.563 | 12 | 2 0 2 |
| 1.405 | 13 | 1 3 3 |


(4)
Structure and computed powder X-ray diffraction pattern of LiEr2Tc (a GGA-PBE-relaxed structure; Cu Kα, 1.54184 Å).
Lines closer than 0.1° are merged.

Structural model:
```
data_LiEr2Tc
_symmetry_space_group_name_H-M 'F m -3 m'
_symmetry_Int_Tables_number 225
_symmetry_space_group_name_Hall '-F 4 2 3'
_cell_length_a 6.928
_cell_length_b 6.928
_cell_length_c 6.928
_cell_angle_alpha 90.00
_cell_angle_beta 90.00
_cell_angle_gamma 90.00
loop_
_atom_site_label
_atom_site_fract_x
_atom_site_fract_y
_atom_site_fract_z
Li1 0.000 0.000 0.000
Er1 0.250 0.250 0.250
Tc1 0.000 0.000 0.500
```

Main lines, in order of rising 2θ (2θ from 15° to 90°):
| d [Å] | intensity | (hkl) |
| --- | --- | --- |
| 4.000 | 12 | 1 1 1 |
| 3.464 | 33 | 2 0 0 |
| 2.449 | 100 | 2 2 0 |
| 2.089 | 6 | 3 1 1 |
| 2.000 | 10 | 2 2 2 |
| 1.732 | 18 | 4 0 0 |
| 1.589 | 2 | 3 3 1 |
| 1.549 | 13 | 4 2 0 |
| 1.414 | 36 | 4 2 2 |
| 1.225 | 11 | 4 4 0 |
| 1.155 | 7 | 6 0 0 |
| 1.095 | 16 | 6 2 0 |